Starting from a cell relaxed with GGA-PBE, the XRD peak list of Mg14NbV was simulated for λ = 1.5418 Å (Cu Kα).

Crystal structure
abc: 6.3134 6.3134 10.0423
angles: 90.00 90.00 120.00
Sites, in units of the cell vectors:
Mg  0.0000  0.0000  0.2485
Mg  0.0000  0.0000  0.7515
Mg  0.0110  0.5055  0.2492
Mg  0.0110  0.5055  0.7508
Mg  0.3350  0.1675  0.5000
Mg  0.3370  0.1685  0.0000
Mg  0.4945  0.5055  0.2492
Mg  0.4945  0.5055  0.7508
Mg  0.4945  0.9890  0.2492
Mg  0.4945  0.9890  0.7508
Mg  0.8315  0.1685  0.0000
Mg  0.8325  0.1675  0.5000
Mg  0.8315  0.6630  0.0000
Mg  0.8325  0.6650  0.5000
Nb  0.3333  0.6667  0.0000
V  0.3333  0.6667  0.5000

Main lines, sorted by position (5 to 70 degrees two-theta):
2θ/deg, I/Imax
16.21, 22
18.48, 6
24.06, 13
32.76, 27
33.53, 6
35.77, 25
37.46, 100
49.28, 16
58.48, 17
65.38, 18



Starting from a cell relaxed with GGA-PBE, the XRD peak list of Eu2Cl2F was simulated for λ = 1.5418 Å (Cu Kα).

Crystal structure
abc: 5.9774 5.9774 13.4651
angles: 90.00 90.00 90.00
Sites, in units of the cell vectors:
Eu  0.0000  0.0000  0.1727
Eu  0.0000  0.0000  0.8273
Cl  0.0000  0.0000  0.3618
Cl  0.0000  0.0000  0.6382
F  0.0000  0.0000  0.0000

Main lines, sorted by position (5 to 70 degrees two-theta):
2θ/deg, I/Imax
6.56, 21
14.82, 100
16.22, 12
19.84, 24
21.02, 45
24.83, 27
29.02, 12
29.90, 18
33.52, 27
36.13, 15



Starting from a cell relaxed with GGA-PBE, the XRD peak list of Ba3PrF9 was simulated for λ = 1.5418 Å (Cu Kα).

Crystal structure
abc: 4.2347 4.3762 14.7022
angles: 91.42 97.41 118.70
Sites, in units of the cell vectors:
Ba  0.0000  0.0000  0.0000
Ba  0.0098  0.5371  0.5177
Ba  0.5297  0.7802  0.2592
Pr  0.4808  0.1903  0.7473
F  0.1366  0.5618  0.7401
F  0.1513  0.0918  0.1883
F  0.3710  0.2235  0.5839
F  0.3717  0.6819  0.0618
F  0.6102  0.3076  0.9183
F  0.6393  0.8529  0.4421
F  0.7216  0.9141  0.6497
F  0.8765  0.9418  0.8215
F  0.9033  0.4650  0.3244

Main lines, sorted by position (5 to 70 degrees two-theta):
2θ/deg, I/Imax
24.55, 100
24.69, 95
25.27, 98
25.40, 98
28.30, 44
29.00, 39
40.79, 47
41.14, 46
41.30, 85
42.71, 46



Starting from a cell relaxed with GGA-PBE, the XRD peak list of Ga4BiAs3 was simulated for λ = 1.5418 Å (Cu Kα).

Crystal structure
abc: 5.9404 5.9404 5.9404
angles: 90.00 90.00 90.00
Sites, in units of the cell vectors:
Ga  0.2393  0.2393  0.7607
Ga  0.2393  0.7607  0.2393
Ga  0.7607  0.2393  0.2393
Ga  0.7607  0.7607  0.7607
Bi  0.5000  0.5000  0.5000
As  0.0000  0.0000  0.5000
As  0.0000  0.5000  0.0000
As  0.5000  0.0000  0.0000

Main lines, sorted by position (5 to 70 degrees two-theta):
2θ/deg, I/Imax
14.91, 11
21.15, 14
25.98, 100
33.74, 12
37.07, 8
43.07, 74
45.83, 5
50.99, 47
62.54, 12
68.90, 19



Starting from a cell relaxed with GGA-PBE, the XRD peak list of MgV4S8 was simulated for λ = 1.5418 Å (Cu Kα).

Crystal structure
abc: 7.1644 7.1644 7.1644
angles: 120.08 119.88 90.03
Sites, in units of the cell vectors:
Mg  0.0000  0.0000  0.0000
V  0.4361  0.1444  0.2918
V  0.8532  0.1441  0.2909
V  0.8526  0.1444  0.7082
V  0.8532  0.5623  0.7091
S  0.1153  0.3709  0.7444
S  0.1247  0.8720  0.2527
S  0.1257  0.3806  0.2549
S  0.1257  0.8707  0.7451
S  0.6193  0.8720  0.7473
S  0.6265  0.3709  0.2556
S  0.6262  0.3710  0.7448
S  0.6262  0.8814  0.2552

Main lines, sorted by position (5 to 70 degrees two-theta):
2θ/deg, I/Imax
15.14, 100
29.23, 16
30.56, 9
35.44, 92
38.73, 24
39.77, 8
46.57, 18
50.97, 55
51.06, 11
63.55, 8



Starting from a cell relaxed with GGA-PBE, the XRD peak list of Lu6Cu23 was simulated for λ = 1.5418 Å (Cu Kα).

Crystal structure
abc: 8.4390 8.4390 8.4390
angles: 60.00 60.00 60.00
Sites, in units of the cell vectors:
Lu  0.2119  0.2119  0.7881
Lu  0.2119  0.7881  0.2119
Lu  0.2119  0.7881  0.7881
Lu  0.7881  0.2119  0.2119
Lu  0.7881  0.2119  0.7881
Lu  0.7881  0.7881  0.2119
Cu  0.0000  0.0000  0.5000
Cu  0.0000  0.5000  0.0000
Cu  0.0000  0.5000  0.5000
Cu  0.1361  0.6213  0.6213
Cu  0.1721  0.1721  0.1721
Cu  0.1721  0.1721  0.4837
Cu  0.1721  0.4837  0.1721
Cu  0.3787  0.3787  0.3787
Cu  0.3787  0.3787  0.8639
Cu  0.3787  0.8639  0.3787
Cu  0.4837  0.1721  0.1721
Cu  0.5000  0.0000  0.0000
Cu  0.5000  0.0000  0.5000
Cu  0.5000  0.5000  0.0000
Cu  0.5000  0.5000  0.5000
Cu  0.5163  0.8279  0.8279
Cu  0.6213  0.1361  0.6213
Cu  0.6213  0.6213  0.1361
Cu  0.6213  0.6213  0.6213
Cu  0.8279  0.5163  0.8279
Cu  0.8279  0.8279  0.5163
Cu  0.8279  0.8279  0.8279
Cu  0.8639  0.3787  0.3787

Main lines, sorted by position (5 to 70 degrees two-theta):
2θ/deg, I/Imax
25.86, 21
29.95, 14
32.71, 16
36.90, 27
39.22, 72
42.87, 100
45.61, 13
59.49, 13
63.84, 13
66.48, 17



Starting from a cell relaxed with GGA-PBE, the XRD peak list of InRhO3 was simulated for λ = 1.5418 Å (Cu Kα).

Crystal structure
abc: 5.4988 7.8663 5.3407
angles: 90.00 90.00 90.00
Sites, in units of the cell vectors:
In  0.0623  0.2500  0.0249
In  0.4377  0.7500  0.5249
In  0.5623  0.2500  0.4751
In  0.9377  0.7500  0.9751
Rh  0.0000  0.0000  0.5000
Rh  0.0000  0.5000  0.5000
Rh  0.5000  0.0000  0.0000
Rh  0.5000  0.5000  0.0000
O  0.0699  0.7500  0.3638
O  0.1998  0.5783  0.8030
O  0.1998  0.9217  0.8030
O  0.3002  0.0783  0.3030
O  0.3002  0.4217  0.3030
O  0.4301  0.2500  0.8638
O  0.5699  0.7500  0.1362
O  0.6998  0.5783  0.6970
O  0.6998  0.9217  0.6970
O  0.8002  0.0783  0.1970
O  0.8002  0.4217  0.1970
O  0.9301  0.2500  0.6362

Main lines, sorted by position (5 to 70 degrees two-theta):
2θ/deg, I/Imax
25.87, 7
32.62, 100
33.56, 17
46.16, 10
47.46, 15
57.63, 8
58.15, 9
58.27, 10
59.42, 17
68.36, 7



Starting from a cell relaxed with GGA-PBE, the XRD peak list of Al2O3 was simulated for λ = 1.5418 Å (Cu Kα).

Crystal structure
abc: 3.0347 3.0347 17.5042
angles: 90.00 90.00 120.00
Sites, in units of the cell vectors:
Al  0.0000  0.0000  0.0000
Al  0.0000  0.0000  0.4997
Al  0.3333  0.6667  0.1664
Al  0.3333  0.6667  0.6667
Al  0.6667  0.3333  0.3333
Al  0.6667  0.3333  0.8330
O  0.0000  0.0000  0.1646
O  0.0000  0.0000  0.3864
O  0.0000  0.0000  0.6108
O  0.3333  0.6667  0.0531
O  0.3333  0.6667  0.2774
O  0.3333  0.6667  0.8312
O  0.6667  0.3333  0.4979
O  0.6667  0.3333  0.7197
O  0.6667  0.3333  0.9441

Main lines, sorted by position (5 to 70 degrees two-theta):
2θ/deg, I/Imax
30.65, 55
34.51, 19
35.67, 100
40.02, 9
43.04, 31
46.70, 11
54.58, 51
61.07, 62
63.88, 32
69.87, 28